(1)
For Ca2Mg2Zn, the GGA-PBE geometry in Alexandria gives the theoretical powder diffraction line list in this record (Cu Ka).

The 10 most intense peaks (15 to 90 degrees two-theta), by intensity:
d (Å)	2θ (°)	I/Imax
4.175	21.28	100.0
2.795	32.02	100.0
2.408	37.34	93.2
3.439	25.91	74.5
2.237	40.32	72.9
2.856	31.33	70.7
2.810	31.85	67.7
2.139	42.25	55.7
2.246	40.16	52.9
2.342	38.43	51.3

Atomic structure:
```
data_Ca2Mg2Zn
_space_group_name_H-M_alt 'P 1'
_space_group_IT_number 1
_space_group_name_Hall 'P 1'
_cell_length_a 7.106
_cell_length_b 7.106
_cell_length_c 7.185
_cell_angle_alpha 105.06
_cell_angle_beta 105.06
_cell_angle_gamma 56.71
loop_
_atom_site_label
_atom_site_fract_x
_atom_site_fract_y
_atom_site_fract_z
Ca1 0.067 0.210 0.495
Ca2 0.210 0.067 0.995
Ca3 0.790 0.933 0.005
Ca4 0.933 0.790 0.505
Mg1 0.310 0.465 0.870
Mg2 0.465 0.310 0.370
Mg3 0.535 0.690 0.630
Mg4 0.690 0.535 0.130
Zn1 0.264 0.736 0.250
Zn2 0.736 0.264 0.750
```

---

(2)
For CaMg2Zn10, the GGA-PBE geometry in Alexandria gives the theoretical powder diffraction line list in this record (Cu Ka).

The 10 most intense peaks (15 to 90 degrees two-theta), by intensity:
d (Å)	2θ (°)	I/Imax
2.361	38.12	100.0
2.248	40.10	95.8
2.318	38.84	83.4
2.258	39.92	76.5
2.645	33.89	75.1
2.054	44.10	73.2
2.110	42.85	71.4
2.769	32.33	54.1
2.074	43.63	52.5
2.021	44.85	45.7

Atomic structure:
```
data_CaMg2Zn10
_space_group_name_H-M_alt 'P 1'
_space_group_IT_number 1
_space_group_name_Hall 'P 1'
_cell_length_a 9.041
_cell_length_b 7.083
_cell_length_c 6.848
_cell_angle_alpha 80.91
_cell_angle_beta 50.68
_cell_angle_gamma 48.42
loop_
_atom_site_label
_atom_site_fract_x
_atom_site_fract_y
_atom_site_fract_z
Ca1 0.000 0.000 0.000
Mg1 0.000 0.500 0.000
Mg2 0.500 0.000 0.500
Zn1 0.000 0.000 0.500
Zn2 0.011 0.645 0.355
Zn3 0.287 0.506 0.494
Zn4 0.355 0.989 0.011
Zn5 0.494 0.713 0.287
Zn6 0.500 0.500 0.000
Zn7 0.506 0.287 0.713
Zn8 0.645 0.011 0.989
Zn9 0.713 0.494 0.506
Zn10 0.989 0.355 0.645
```

---

(3)
For CaMgZn, the GGA-PBE geometry in Alexandria gives the theoretical powder diffraction line list in this record (Cu Ka).

The 10 most intense peaks (15 to 90 degrees two-theta), by intensity:
d (Å)	2θ (°)	I/Imax
2.532	35.46	100.0
2.444	36.78	32.0
2.554	35.14	23.4
2.975	30.03	23.2
3.006	29.72	22.6
3.770	23.60	17.2
1.628	56.52	16.0
4.196	21.17	15.2
2.331	38.62	14.4
1.712	53.52	11.5

Atomic structure:
```
data_CaMgZn
_space_group_name_H-M_alt 'P 1'
_space_group_IT_number 1
_space_group_name_Hall 'P 1'
_cell_length_a 5.922
_cell_length_b 8.392
_cell_length_c 6.013
_cell_angle_alpha 90.00
_cell_angle_beta 90.00
_cell_angle_gamma 90.00
loop_
_atom_site_label
_atom_site_fract_x
_atom_site_fract_y
_atom_site_fract_z
Ca1 0.149 0.100 0.250
Ca2 0.149 0.400 0.750
Ca3 0.851 0.600 0.250
Ca4 0.851 0.900 0.750
Mg1 0.360 0.750 0.000
Mg2 0.360 0.750 0.500
Mg3 0.640 0.250 0.000
Mg4 0.640 0.250 0.500
Zn1 0.344 0.044 0.750
Zn2 0.344 0.456 0.250
Zn3 0.656 0.544 0.750
Zn4 0.656 0.956 0.250
```